Record 1
For Sr2SnHg, the PBE geometry in OQMD gives the simulated X-ray diffraction stick pattern in this record (Cu Kα X-rays).
Kinematic intensities with the Lorentz-polarization factor, no thermal factor.

Atomic structure:
```
data_Sr2SnHg
_chemical_formula_sum 'Sr4 Sn2 Hg2'
_cell_length_a 5.701
_cell_length_b 8.020
_cell_length_c 5.701
_cell_angle_alpha 90.00
_cell_angle_beta 90.00
_cell_angle_gamma 90.00
_symmetry_space_group_name_H-M 'P m m n'
_symmetry_Int_Tables_number 59
loop_
_symmetry_equiv_pos_as_xyz
'x,y,z'
'-x,-y,-z'
'-x+1/2,-y+1/2,z'
'x+1/2,y+1/2,-z'
'x+1/2,-y,-z'
'-x+1/2,y,z'
'-x,y+1/2,-z'
'x,-y+1/2,z'
loop_
_atom_site_label
_atom_site_fract_x
_atom_site_fract_y
_atom_site_fract_z
_atom_site_occupancy
Sr1 0.250 0.000 0.249 1
Sn1 0.250 0.250 0.749 1
Hg1 0.250 0.750 0.749 1
```

Principal peaks in the range 10° ≤ 2θ ≤ 90°, sorted by position:
d 4.031, 2θ 22.05, I 65, (1 0 1)
d 2.846, 2θ 31.44, I 1000, (2 0 0)
d 2.016, 2θ 44.97, I 125, (2 0 2)
d 2.005, 2θ 45.22, I 62, (0 4 0)
d 1.644, 2θ 55.92, I 264, (3 2 1)
d 1.640, 2θ 56.08, I 131, (2 4 0)
d 1.421, 2θ 65.68, I 82, (2 4 2)
d 1.274, 2θ 74.44, I 116, (4 0 2)

=====

Record 2
For Tb2Sn3Hg3, the PBE geometry in OQMD gives the simulated X-ray diffraction stick pattern in this record (Cu Kα X-rays).
Kinematic intensities with the Lorentz-polarization factor, no thermal factor.

Atomic structure:
```
data_Tb2Sn3Hg3
_chemical_formula_sum 'Tb2 Sn3 Hg3'
_cell_length_a 4.619
_cell_length_b 4.768
_cell_length_c 9.025
_cell_angle_alpha 90.00
_cell_angle_beta 90.00
_cell_angle_gamma 90.00
_symmetry_space_group_name_H-M 'P m m m'
_symmetry_Int_Tables_number 47
_symmetry_space_group_name_Hall '-P 2 2'
loop_
_atom_site_label
_atom_site_fract_x
_atom_site_fract_y
_atom_site_fract_z
_atom_site_occupancy
Tb1 0.000 0.000 0.247 1
Sn1 0.000 0.500 0.000 1
Sn2 0.500 0.000 0.000 1
Sn3 0.500 0.000 0.500 1
Hg1 0.000 0.500 0.500 1
Hg2 0.500 0.500 0.255 1
```

Principal peaks in the range 10° ≤ 2θ ≤ 90°, sorted by position:
d 2.673, 2θ 33.53, I 1000, (1 1 2)
d 2.384, 2θ 37.74, I 183, (0 2 0)
d 2.309, 2θ 39.00, I 168, (2 0 0)
d 2.256, 2θ 39.96, I 155, (0 0 4)
d 1.659, 2θ 55.39, I 122, (2 2 0)
d 1.426, 2θ 65.47, I 149, (1 3 2)
d 1.393, 2θ 67.18, I 139, (3 1 2)
d 1.370, 2θ 68.50, I 130, (1 1 6)

=====

What did the first record say?
For Sr2SnHg, the PBE geometry in OQMD gives the simulated X-ray diffraction stick pattern in this record (Cu Kα X-rays).
Kinematic intensities with the Lorentz-polarization factor, no thermal factor.

Atomic structure:
```
data_Sr2SnHg
_chemical_formula_sum 'Sr4 Sn2 Hg2'
_cell_length_a 5.701
_cell_length_b 8.020
_cell_length_c 5.701
_cell_angle_alpha 90.00
_cell_angle_beta 90.00
_cell_angle_gamma 90.00
_symmetry_space_group_name_H-M 'P m m n'
_symmetry_Int_Tables_number 59
loop_
_symmetry_equiv_pos_as_xyz
'x,y,z'
'-x,-y,-z'
'-x+1/2,-y+1/2,z'
'x+1/2,y+1/2,-z'
'x+1/2,-y,-z'
'-x+1/2,y,z'
'-x,y+1/2,-z'
'x,-y+1/2,z'
loop_
_atom_site_label
_atom_site_fract_x
_atom_site_fract_y
_atom_site_fract_z
_atom_site_occupancy
Sr1 0.250 0.000 0.249 1
Sn1 0.250 0.250 0.749 1
Hg1 0.250 0.750 0.749 1
```

Principal peaks in the range 10° ≤ 2θ ≤ 90°, sorted by position:
d 4.031, 2θ 22.05, I 65, (1 0 1)
d 2.846, 2θ 31.44, I 1000, (2 0 0)
d 2.016, 2θ 44.97, I 125, (2 0 2)
d 2.005, 2θ 45.22, I 62, (0 4 0)
d 1.644, 2θ 55.92, I 264, (3 2 1)
d 1.640, 2θ 56.08, I 131, (2 4 0)
d 1.421, 2θ 65.68, I 82, (2 4 2)
d 1.274, 2θ 74.44, I 116, (4 0 2)